Record 1
The following is a calculated XRD peak list of NaH6BrO5. It was derived from a GGA-PBE-relaxed structure, using Cu Ka.

Largest 8 diffraction maxima, by intensity, 10° ≤ 2θ ≤ 90°:
2theta  d/Å  I_rel
20.8  4.265  100.0
29.6  3.020  65.4
17.1  5.177  62.9
30.4  2.942  61.3
26.5  3.362  57.3
21.4  4.162  56.9
19.3  4.610  55.2
31.0  2.883  53.9

Structural model:
Cell: 5.4975 6.5411 9.1067 Å, 72.10 88.45 70.90°
Space group P-1 (No. 2)
Asymmetric unit:
Na1 0.2322 0.0439 0.0995 (multiplicity 2)
H1 0.0858 0.9260 0.6512 (multiplicity 2)
H2 0.1149 0.8270 0.4318 (multiplicity 2)
H3 0.2000 0.1693 0.7580 (multiplicity 2)
H4 0.2471 0.5957 0.0637 (multiplicity 2)
H5 0.2958 0.3712 0.7570 (multiplicity 2)
H6 0.3494 0.7372 0.9200 (multiplicity 2)
Br1 0.4038 0.3278 0.3680 (multiplicity 2)
O1 0.0137 0.9266 0.3320 (multiplicity 2)
O2 0.2118 0.7545 0.9916 (multiplicity 2)
O3 0.2796 0.6638 0.6201 (multiplicity 2)
O4 0.3175 0.2107 0.8155 (multiplicity 2)
O5 0.3478 0.3223 0.1816 (multiplicity 2)

Record 2
The following is a calculated XRD peak list of NbSnCl. It was derived from a GGA-PBE-relaxed structure, using Cu Ka.

Largest 8 diffraction maxima, by intensity, 10° ≤ 2θ ≤ 90°:
2theta  d/Å  I_rel
13.1  6.763  100.0
40.0  2.256  92.1
31.7  2.820  54.9
26.4  3.382  44.2
31.2  2.868  42.8
37.7  2.387  40.7
39.8  2.267  38.5
45.1  2.011  36.8

Structural model:
Cell: 16.9454 5.7346 11.3183 Å, 90.00 127.04 90.00°
Space group Cc (No. 9)
Asymmetric unit:
Nb1 0.0000 0.0618 0.0000 (multiplicity 4)
Nb2 0.1539 0.1811 0.5259 (multiplicity 4)
Nb3 0.4943 0.0700 0.7817 (multiplicity 4)
Sn1 0.0042 0.4354 0.5383 (multiplicity 4)
Sn2 0.3086 0.4371 0.7897 (multiplicity 4)
Sn3 0.4815 0.4451 0.2364 (multiplicity 4)
Cl1 0.1716 0.4789 0.9105 (multiplicity 4)
Cl2 0.1826 0.1204 0.2021 (multiplicity 4)
Cl3 0.3075 0.0209 0.5675 (multiplicity 4)

Record 3
The following is a calculated XRD peak list of SrCd3F8. It was derived from a GGA-PBE-relaxed structure, using Cu Ka.

Largest 8 diffraction maxima, by intensity, 10° ≤ 2θ ≤ 90°:
2theta  d/Å  I_rel
31.0  2.880  100.0
13.2  6.684  79.1
41.4  2.182  56.9
32.2  2.777  41.8
55.2  1.663  39.2
22.2  3.998  36.3
33.9  2.645  26.9
45.4  1.999  26.9

Structural model:
Cell: 5.7607 5.7607 6.6841 Å, 90.00 90.00 120.00°
Space group P-3 (No. 147)
Asymmetric unit:
Sr1 0.0000 0.0000 0.0000 (multiplicity 1)
Cd1 0.0000 0.0000 0.5000 (multiplicity 1)
Cd2 0.3333 0.6667 0.5971 (multiplicity 2)
F1 0.0772 0.3532 0.3252 (multiplicity 6)
F2 0.3333 0.6667 0.9149 (multiplicity 2)

Record 4
The following is a calculated XRD peak list of SmZr2Al9. It was derived from a GGA-PBE-relaxed structure, using Cu Ka.

Largest 8 diffraction maxima, by intensity, 10° ≤ 2θ ≤ 90°:
2theta  d/Å  I_rel
39.2  2.299  100.0
33.2  2.702  57.9
30.5  2.927  55.6
19.3  4.607  44.8
38.6  2.331  34.9
33.3  2.687  34.4
63.3  1.469  33.2
57.6  1.600  18.9

Structural model:
Cell: 5.4041 5.4041 26.2532 Å, 90.00 90.00 120.00°
Space group R-3m (No. 166, hexagonal axes)
Asymmetric unit:
Sm1 0.0000 0.0000 0.0000 (multiplicity 3)
Zr1 0.0000 0.0000 0.1440 (multiplicity 6)
Al1 0.0000 0.0000 0.3342 (multiplicity 6)
Al2 0.0000 0.0000 0.5000 (multiplicity 3)
Al3 0.0067 0.5034 0.9132 (multiplicity 18)

Record 5
The following is a calculated XRD peak list of GaN4. It was derived from a GGA-PBE-relaxed structure, using Cu Ka.

Largest 8 diffraction maxima, by intensity, 10° ≤ 2θ ≤ 90°:
2theta  d/Å  I_rel
22.0  4.035  100.0
31.4  2.853  82.2
50.6  1.804  41.9
44.9  2.017  41.5
55.8  1.647  30.9
65.4  1.426  22.6
70.0  1.345  19.1
74.3  1.276  12.7

Structural model:
Cell: 4.0346 4.0346 4.0346 Å, 90.00 90.00 90.00°
Space group Pm-3m (No. 221)
Asymmetric unit:
Ga1 0.0000 0.0000 0.0000 (multiplicity 1)
N1 0.0000 0.0000 0.5000 (multiplicity 3)
N2 0.5000 0.5000 0.5000 (multiplicity 1)

Record 6
The following is a calculated XRD peak list of Sc5Cd2Si2. It was derived from a GGA-PBE-relaxed structure, using Cu Ka.

Largest 8 diffraction maxima, by intensity, 10° ≤ 2θ ≤ 90°:
2theta  d/Å  I_rel
34.5  2.597  100.0
27.9  3.199  47.2
36.1  2.486  46.2
34.2  2.619  40.3
41.0  2.201  38.7
69.3  1.356  27.3
11.5  7.702  26.5
25.3  3.516  25.1

Structural model:
Cell: 15.4045 7.0298 7.0344 Å, 90.00 90.00 90.00°
Space group Cmce (No. 64)
Asymmetric unit:
Sc1 0.0000 0.0000 0.0000 (multiplicity 4)
Sc2 0.1211 0.1820 0.3220 (multiplicity 16)
Cd1 0.2231 0.0000 0.0000 (multiplicity 8)
Si1 0.0000 0.1222 0.6236 (multiplicity 8)

Record 7
The following is a calculated XRD peak list of Ho5SnPb4. It was derived from a GGA-PBE-relaxed structure, using Cu Ka.

Largest 8 diffraction maxima, by intensity, 10° ≤ 2θ ≤ 90°:
2theta  d/Å  I_rel
28.5  3.127  100.0
40.8  2.211  77.7
66.9  1.398  36.6
50.6  1.805  28.0
74.3  1.277  27.2
59.1  1.564  13.2
88.4  1.106  9.2
24.7  3.611  1.4

Structural model:
Cell: 9.8887 9.8887 6.2543 Å, 90.00 90.00 90.00°
Space group I4/m (No. 87)
Asymmetric unit:
Ho1 0.0000 0.0000 0.0000 (multiplicity 2)
Ho2 0.0998 0.2949 0.5000 (multiplicity 8)
Sn1 0.0000 0.0000 0.5000 (multiplicity 2)
Pb1 0.0973 0.3018 0.0000 (multiplicity 8)

Record 8
The following is a calculated XRD peak list of ScUAgSe4. It was derived from a GGA-PBE-relaxed structure, using Cu Ka.

Largest 8 diffraction maxima, by intensity, 10° ≤ 2θ ≤ 90°:
2theta  d/Å  I_rel
44.7  2.028  100.0
25.2  3.533  84.2
30.9  2.895  66.1
13.5  6.540  57.3
26.0  3.424  50.5
31.5  2.842  33.5
45.4  1.999  31.5
40.9  2.207  31.4

Structural model:
Cell: 7.9959 8.3973 11.3685 Å, 90.00 90.00 90.00°
Space group Imma (No. 74)
Asymmetric unit:
Sc1 0.2500 0.2500 0.2500 (multiplicity 4)
U1 0.0000 0.0000 0.0000 (multiplicity 4)
Ag1 0.0000 0.2500 0.6410 (multiplicity 4)
Se1 0.0000 0.0278 0.2475 (multiplicity 8)
Se2 0.2393 0.2500 0.0098 (multiplicity 8)

Record 9
The following is a calculated XRD peak list of Pm8Ge5Pt. It was derived from a GGA-PBE-relaxed structure, using Cu Ka.

Largest 8 diffraction maxima, by intensity, 10° ≤ 2θ ≤ 90°:
2theta  d/Å  I_rel
31.3  2.861  100.0
30.9  2.896  56.5
37.1  2.426  36.2
37.2  2.419  30.0
36.9  2.438  24.1
51.5  1.774  18.5
27.7  3.219  16.6
49.3  1.850  15.8

Structural model:
Cell: 9.0417 9.0417 9.1698 Å, 90.00 90.00 90.00°
Space group I-4 (No. 82)
Asymmetric unit:
Pm1 0.0636 0.1898 0.3076 (multiplicity 8)
Pm2 0.0676 0.3153 0.9367 (multiplicity 8)
Ge1 0.0000 0.0000 0.0000 (multiplicity 2)
Ge2 0.1225 0.2496 0.6240 (multiplicity 8)
Pt1 0.0000 0.5000 0.2500 (multiplicity 2)

Record 10
The following is a calculated XRD peak list of Rb2Mg2AgF7. It was derived from a GGA-PBE-relaxed structure, using Cu Ka.

Largest 8 diffraction maxima, by intensity, 10° ≤ 2θ ≤ 90°:
2theta  d/Å  I_rel
29.9  2.984  100.0
39.9  2.260  69.8
31.2  2.870  66.7
44.7  2.029  52.4
54.7  1.678  36.8
22.3  3.992  30.4
62.2  1.492  19.5
41.0  2.201  18.9

Structural model:
Cell: 5.7402 5.7401 11.3691 Å, 90.00 104.57 90.00°
Space group C2/m (No. 12)
Asymmetric unit:
Rb1 0.1837 0.0000 0.3695 (multiplicity 4)
Mg1 0.0891 0.5000 0.1800 (multiplicity 4)
Ag1 0.0000 0.0000 0.0000 (multiplicity 2)
F1 0.0000 0.5000 0.0000 (multiplicity 2)
F2 0.1618 0.2501 0.8216 (multiplicity 8)
F3 0.1813 0.5000 0.3651 (multiplicity 4)